1.
# Rb2Te2Pb
Simulated powder diffraction line list, copper Kα. Input: a GGA-PBE-relaxed structure.
Lines closer than 0.1° are merged.

Structure:
```
data_Rb2Te2Pb
_symmetry_space_group_name_H-M 'P 1 21/c 1'
_symmetry_Int_Tables_number 14
_symmetry_space_group_name_Hall '-P 2ybc'
_cell_length_a 10.9132
_cell_length_b 9.5814
_cell_length_c 9.2671
_cell_angle_alpha 90.00
_cell_angle_beta 97.85
_cell_angle_gamma 90.00
loop_
_atom_site_label
_atom_site_type_symbol
_atom_site_fract_x
_atom_site_fract_y
_atom_site_fract_z
Rb1 Rb 0.0687 0.2271 0.0228
Rb2 Rb 0.3299 0.6781 0.9660
Te1 Te 0.1378 0.5504 0.2449
Te2 Te 0.4012 0.0963 0.2029
Pb1 Pb 0.3771 0.0959 0.8531
```

Most intense lines, 2θ from 5° to 70°, low angle first:
d_spacing, I/Imax
10.811, 78
5.917, 95
4.035, 43
3.871, 61
3.501, 46
3.314, 56
3.107, 38
2.913, 57
2.750, 100
2.703, 45

***

2.
# TiFeBMo2
Simulated powder diffraction line list, copper Kα. Input: a GGA-PBE-relaxed structure.
Lines closer than 0.1° are merged.

Structure:
```
data_TiFeBMo2
_symmetry_space_group_name_H-M 'P 4/m m m'
_symmetry_Int_Tables_number 123
_symmetry_space_group_name_Hall '-P 4 2'
_cell_length_a 4.1321
_cell_length_b 4.1321
_cell_length_c 4.1632
_cell_angle_alpha 90.00
_cell_angle_beta 90.00
_cell_angle_gamma 90.00
loop_
_atom_site_label
_atom_site_type_symbol
_atom_site_fract_x
_atom_site_fract_y
_atom_site_fract_z
Ti1 Ti 0.0000 0.0000 0.0000
Fe1 Fe 0.5000 0.5000 0.0000
B1 B 0.0000 0.0000 0.5000
Mo1 Mo 0.0000 0.5000 0.5000
```

Most intense lines, 2θ from 5° to 70°, low angle first:
d_spacing, I/Imax
4.163, 12
2.922, 7
2.392, 100
2.082, 18
2.066, 35
1.851, 5
1.695, 3
1.466, 22
1.461, 11
1.379, 2

***

3.
# Tb3Y2Er2
Simulated powder diffraction line list, copper Kα. Input: a GGA-PBE-relaxed structure.
Lines closer than 0.1° are merged.

Structure:
```
data_Tb3Y2Er2
_symmetry_space_group_name_H-M 'I m m m'
_symmetry_Int_Tables_number 71
_symmetry_space_group_name_Hall '-I 2 2'
_cell_length_a 3.5256
_cell_length_b 5.4596
_cell_length_c 23.2083
_cell_angle_alpha 90.00
_cell_angle_beta 90.00
_cell_angle_gamma 90.00
loop_
_atom_site_label
_atom_site_type_symbol
_atom_site_fract_x
_atom_site_fract_y
_atom_site_fract_z
Tb1 Tb 0.0000 0.0000 0.0000
Tb2 Tb 0.0000 0.5000 0.2240
Y1 Y 0.0000 0.0000 0.1417
Er1 Er 0.0000 0.0000 0.4215
```

Most intense lines, 2θ from 5° to 70°, low angle first:
d_spacing, I/Imax
2.870, 84
2.834, 100
2.808, 39
2.730, 49
2.638, 28
1.957, 28
1.810, 17
1.656, 21
1.595, 18
1.497, 29

***

4.
# SrTbPr
Simulated powder diffraction line list, copper Kα. Input: a GGA-PBE-relaxed structure.
Lines closer than 0.1° are merged.

Structure:
```
data_SrTbPr
_symmetry_space_group_name_H-M 'P 4 m m'
_symmetry_Int_Tables_number 99
_symmetry_space_group_name_Hall 'P 4 -2'
_cell_length_a 4.2116
_cell_length_b 4.2116
_cell_length_c 13.7398
_cell_angle_alpha 90.00
_cell_angle_beta 90.00
_cell_angle_gamma 90.00
loop_
_atom_site_label
_atom_site_type_symbol
_atom_site_fract_x
_atom_site_fract_y
_atom_site_fract_z
Sr1 Sr 0.0000 0.0000 0.0000
Sr2 Sr 0.5000 0.5000 0.2241
Tb1 Tb 0.5000 0.5000 0.5496
Tb2 Tb 0.5000 0.5000 0.8209
Pr1 Pr 0.0000 0.0000 0.4160
Pr2 Pr 0.0000 0.0000 0.6845
```

Most intense lines, 2θ from 5° to 70°, low angle first:
d_spacing, I/Imax
13.740, 89
3.100, 100
2.978, 69
2.910, 11
2.662, 46
2.106, 26
1.742, 37
1.652, 22
1.639, 14
1.489, 13